This entry pairs a crystal structure of Dy6CoPt2 with its theoretical powder X-ray diffraction pattern. Radiation: Cu Kα. Structure: a crystal structure in Alexandria, relaxed with PBE.

Most intense lines, 10 to 90 degrees two-theta, by angle:
Position (°2θ)	intensity
29.6	38
30.7	100
31.3	83
33.2	65
33.7	58
35.2	31
36.9	26
37.1	40
38.1	30
39.7	37
47.3	39
56.7	27

Structure:
a = 6.5597 Å, b = 7.2607 Å, c = 11.7348 Å
α = 90.00°, β = 123.87°, γ = 90.00°
Sites, in units of the cell vectors:
1 Dy 0.1027 0.1776 0.4337
2 Dy 0.1027 0.3224 0.9337
3 Dy 0.2600 0.6824 0.4342
4 Dy 0.2600 0.8176 0.9342
5 Dy 0.3931 0.0362 0.2491
6 Dy 0.3931 0.4638 0.7491
7 Dy 0.6069 0.5362 0.2509
8 Dy 0.6069 0.9638 0.7509
9 Dy 0.7400 0.1824 0.0658
10 Dy 0.7400 0.3176 0.5658
11 Dy 0.8973 0.6776 0.0663
12 Dy 0.8973 0.8224 0.5663
13 Co 0.5000 0.0000 0.5000
14 Co 0.5000 0.5000 0.0000
15 Pt 0.1990 0.1148 0.7503
16 Pt 0.1990 0.3852 0.2503
17 Pt 0.8010 0.6148 0.7497
18 Pt 0.8010 0.8852 0.2497



This entry pairs a crystal structure of Dy4PuCo5 with its theoretical powder X-ray diffraction pattern. Radiation: Cu Kα. Structure: a crystal structure in Alexandria, relaxed with PBE.

Most intense lines, 10 to 90 degrees two-theta, by angle:
Position (°2θ)	intensity
13.8	26
29.1	100
31.2	24
35.3	64
38.3	28
39.8	35
40.7	30
42.3	41
48.0	16
58.2	26
58.4	19
67.3	17

Structure:
a = 6.8295 Å, b = 6.8295 Å, c = 6.8295 Å
α = 96.80°, β = 96.80°, γ = 139.75°
Sites, in units of the cell vectors:
1 Dy 0.0000 0.2877 0.2877
2 Dy 0.0000 0.7123 0.7123
3 Dy 0.2877 0.0000 0.2877
4 Dy 0.7123 0.0000 0.7123
5 Pu 0.6112 0.6112 0.0000
6 Co 0.1208 0.1208 0.0000
7 Co 0.2973 0.2973 0.6311
8 Co 0.2973 0.6662 0.0000
9 Co 0.6662 0.2973 0.0000
10 Co 0.6662 0.6662 0.3689



This entry pairs a crystal structure of DyPu2Co9 with its theoretical powder X-ray diffraction pattern. Radiation: Cu Kα. Structure: a crystal structure in Alexandria, relaxed with PBE.

Most intense lines, 10 to 90 degrees two-theta, by angle:
Position (°2θ)	intensity
10.9	24
21.2	28
33.2	74
36.2	52
36.6	72
42.7	50
43.0	100
46.1	21
63.7	23
65.6	18
70.3	22
77.8	23

Structure:
a = 8.6328 Å, b = 8.6328 Å, c = 8.6328 Å
α = 33.06°, β = 33.06°, γ = 33.06°
Sites, in units of the cell vectors:
1 Dy 0.0000 0.0000 0.0000
2 Pu 0.1399 0.1399 0.1399
3 Pu 0.8601 0.8601 0.8601
4 Co 0.0813 0.5816 0.5816
5 Co 0.3333 0.3333 0.3333
6 Co 0.4184 0.4184 0.9187
7 Co 0.4184 0.9187 0.4184
8 Co 0.5000 0.5000 0.5000
9 Co 0.5816 0.0813 0.5816
10 Co 0.5816 0.5816 0.0813
11 Co 0.6667 0.6667 0.6667
12 Co 0.9187 0.4184 0.4184



This entry pairs a crystal structure of Dy8Co2Ru with its theoretical powder X-ray diffraction pattern. Radiation: Cu Kα. Structure: a crystal structure in Alexandria, relaxed with PBE.

Most intense lines, 10 to 90 degrees two-theta, by angle:
Position (°2θ)	intensity
24.4	25
27.7	32
31.4	60
31.6	93
32.5	100
33.0	96
34.4	82
35.6	30
37.2	54
39.9	60
55.5	32
57.3	37

Structure:
a = 7.4278 Å, b = 7.4278 Å, c = 5.8178 Å
α = 100.09°, β = 100.09°, γ = 114.15°
Sites, in units of the cell vectors:
1 Dy 0.0000 0.0000 0.0000
2 Dy 0.0257 0.2837 0.5946
3 Dy 0.1499 0.5780 0.1872
4 Dy 0.2837 0.0257 0.5946
5 Dy 0.4399 0.6994 0.7856
6 Dy 0.5780 0.1499 0.1872
7 Dy 0.6994 0.4399 0.7856
8 Dy 0.7214 0.7214 0.3690
9 Co 0.0543 0.6653 0.6841
10 Co 0.6653 0.0543 0.6841
11 Ru 0.3604 0.3604 0.1153



This entry pairs a crystal structure of Dy2Y2Co2S with its theoretical powder X-ray diffraction pattern. Radiation: Cu Kα. Structure: a crystal structure in Alexandria, relaxed with PBE.

Most intense lines, 10 to 90 degrees two-theta, by angle:
Position (°2θ)	intensity
12.9	72
26.0	37
26.5	39
29.9	78
31.1	33
33.5	43
35.0	100
36.9	32
39.1	44
40.0	33
42.5	51
48.7	31

Structure:
a = 13.0649 Å, b = 3.7430 Å, c = 7.7845 Å
α = 90.00°, β = 118.29°, γ = 90.00°
Sites, in units of the cell vectors:
1 Dy 0.2282 0.0000 0.3023
2 Dy 0.2718 0.5000 0.6977
3 Dy 0.7282 0.5000 0.3023
4 Dy 0.7718 0.0000 0.6977
5 Y 0.0213 0.5000 0.7488
6 Y 0.4787 0.0000 0.2512
7 Y 0.5213 0.0000 0.7488
8 Y 0.9787 0.5000 0.2512
9 Co 0.1011 0.0000 0.5534
10 Co 0.3989 0.5000 0.4466
11 Co 0.6011 0.5000 0.5534
12 Co 0.8989 0.0000 0.4466
13 S 0.0000 0.0000 0.0000
14 S 0.5000 0.5000 0.0000



This entry pairs a crystal structure of Dy12Co5Sb with its theoretical powder X-ray diffraction pattern. Radiation: Cu Kα. Structure: a crystal structure in Alexandria, relaxed with PBE.

Most intense lines, 10 to 90 degrees two-theta, by angle:
Position (°2θ)	intensity
28.8	27
29.8	27
30.1	30
32.5	100
34.7	54
35.2	48
35.6	48
38.3	20
55.0	24
56.9	17
59.8	20
60.4	29

Structure:
a = 8.2816 Å, b = 8.2816 Å, c = 8.2816 Å
α = 110.93°, β = 110.46°, γ = 107.06°
Sites, in units of the cell vectors:
1 Dy 0.0131 0.2065 0.8066
2 Dy 0.1846 0.2908 0.4754
3 Dy 0.1846 0.7092 0.8939
4 Dy 0.3129 0.0057 0.6929
5 Dy 0.3129 0.6200 0.3071
6 Dy 0.3999 0.2065 0.1934
7 Dy 0.6001 0.7935 0.8066
8 Dy 0.6871 0.3800 0.6929
9 Dy 0.6871 0.9943 0.3071
10 Dy 0.8154 0.2908 0.1061
11 Dy 0.8154 0.7092 0.5246
12 Dy 0.9869 0.7935 0.1934
13 Co 0.0000 0.0000 0.0000
14 Co 0.1122 0.6122 0.5000
15 Co 0.3770 0.0000 0.3770
16 Co 0.6230 0.0000 0.6230
17 Co 0.8878 0.3878 0.5000
18 Sb 0.5000 0.5000 0.0000



This entry pairs a crystal structure of DySc3Co with its theoretical powder X-ray diffraction pattern. Radiation: Cu Kα. Structure: a crystal structure in Alexandria, relaxed with PBE.

Most intense lines, 10 to 90 degrees two-theta, by angle:
Position (°2θ)	intensity
17.0	53
22.8	37
27.5	52
29.0	25
30.0	46
31.2	44
33.2	43
33.5	33
34.8	100
36.7	60
36.8	32
51.6	28

Structure:
a = 6.4031 Å, b = 6.4031 Å, c = 10.4530 Å
α = 92.24°, β = 92.24°, γ = 32.07°
Sites, in units of the cell vectors:
1 Dy 0.1519 0.1519 0.0860
2 Dy 0.8481 0.8481 0.9140
3 Sc 0.0607 0.0607 0.3733
4 Sc 0.2234 0.2234 0.6348
5 Sc 0.4253 0.4253 0.1749
6 Sc 0.5747 0.5747 0.8251
7 Sc 0.7766 0.7766 0.3652
8 Sc 0.9393 0.9393 0.6267
9 Co 0.4096 0.4096 0.4395
10 Co 0.5904 0.5904 0.5605



This entry pairs a crystal structure of DySc4Co with its theoretical powder X-ray diffraction pattern. Radiation: Cu Kα. Structure: a crystal structure in Alexandria, relaxed with PBE.

Most intense lines, 10 to 90 degrees two-theta, by angle:
Position (°2θ)	intensity
16.2	47
22.6	17
23.8	21
24.6	24
31.0	18
31.7	28
32.7	40
34.0	16
34.2	100
34.5	59
44.3	24
53.6	23

Structure:
a = 8.1097 Å, b = 8.1097 Å, c = 6.6192 Å
α = 105.51°, β = 105.51°, γ = 42.90°
Sites, in units of the cell vectors:
1 Dy 0.0530 0.9470 0.7500
2 Dy 0.9470 0.0530 0.2500
3 Sc 0.1035 0.2946 0.6399
4 Sc 0.2946 0.1035 0.1399
5 Sc 0.3233 0.4798 0.0104
6 Sc 0.4798 0.3233 0.5104
7 Sc 0.5202 0.6767 0.4896
8 Sc 0.6767 0.5202 0.9896
9 Sc 0.7054 0.8965 0.8601
10 Sc 0.8965 0.7054 0.3601
11 Co 0.0000 0.5000 0.0000
12 Co 0.5000 0.0000 0.5000